1.
For LiMgH6Ir, a structure optimized by DFT (PBE) gives the theoretical X-ray powder pattern in this record (CuKα).
Intensities are scaled so that the largest is 100.

The 8 most intense peaks (15 to 90 degrees two-theta), in order of falling intensity:
two_theta	d (Å)	I_rel
23.3	3.821	100
38.5	2.340	54
45.5	1.996	51
26.9	3.309	38
61.0	1.518	21
69.6	1.351	19
87.1	1.119	16
74.5	1.274	16

Structure:
Cell: 6.618 6.618 6.618 Å, 90.00 90.00 90.00°
Atoms (fractional coordinates):
Li 0.000 0.000 0.000
Li 0.000 0.000 0.500
Li 0.000 0.500 0.000
Li 0.500 0.000 0.000
Mg 0.000 0.500 0.500
Mg 0.500 0.000 0.500
Mg 0.500 0.500 0.000
Mg 0.500 0.500 0.500
H 0.005 0.250 0.250
H 0.005 0.750 0.750
H 0.248 0.248 0.508
H 0.248 0.492 0.752
H 0.248 0.508 0.248
H 0.248 0.752 0.492
H 0.250 0.005 0.250
H 0.250 0.250 0.005
H 0.250 0.750 0.995
H 0.250 0.995 0.750
H 0.492 0.248 0.752
H 0.492 0.752 0.248
H 0.508 0.248 0.248
H 0.508 0.752 0.752
H 0.750 0.005 0.750
H 0.750 0.250 0.995
H 0.750 0.750 0.005
H 0.750 0.995 0.250
H 0.752 0.248 0.492
H 0.752 0.492 0.248
H 0.752 0.508 0.752
H 0.752 0.752 0.508
H 0.995 0.250 0.750
H 0.995 0.750 0.250
Ir 0.257 0.257 0.257
Ir 0.257 0.743 0.743
Ir 0.743 0.257 0.743
Ir 0.743 0.743 0.257

=====

2.
For Sr2Tl3Br7, a structure optimized by DFT (PBE) gives the theoretical X-ray powder pattern in this record (CuKα).
Intensities are scaled so that the largest is 100.

The 8 most intense peaks (15 to 90 degrees two-theta), in order of falling intensity:
two_theta	d (Å)	I_rel
22.0	4.040	100
39.1	2.306	79
34.9	2.573	65
18.0	4.938	49
30.8	2.906	43
31.8	2.811	38
25.5	3.487	37
31.4	2.845	37

Structure:
Cell: 14.604 14.604 8.525 Å, 90.00 90.00 31.56°
Atoms (fractional coordinates):
Sr 0.148 0.647 0.500
Sr 0.353 0.852 0.500
Sr 0.647 0.148 0.000
Sr 0.852 0.353 0.000
Tl 0.055 0.562 0.086
Tl 0.228 0.772 0.921
Tl 0.438 0.945 0.086
Tl 0.562 0.055 0.586
Tl 0.772 0.228 0.421
Tl 0.945 0.438 0.586
Br 0.012 0.140 0.693
Br 0.074 0.334 0.956
Br 0.140 0.012 0.193
Br 0.310 0.438 0.805
Br 0.334 0.074 0.456
Br 0.379 0.621 0.546
Br 0.438 0.310 0.305
Br 0.562 0.690 0.805
Br 0.621 0.379 0.046
Br 0.666 0.926 0.956
Br 0.690 0.562 0.305
Br 0.860 0.988 0.693
Br 0.926 0.666 0.456
Br 0.988 0.860 0.193

=====

3.
For Na4Hf3TiS8, a structure optimized by DFT (PBE) gives the theoretical X-ray powder pattern in this record (CuKα).
Intensities are scaled so that the largest is 100.

The 8 most intense peaks (15 to 90 degrees two-theta), in order of falling intensity:
two_theta	d (Å)	I_rel
33.5	2.678	100
45.8	1.980	38
28.7	3.112	36
50.2	1.818	31
29.7	3.008	26
42.3	2.138	21
52.1	1.756	18
61.7	1.504	16

Structure:
Cell: 7.986 7.986 7.986 Å, 54.16 54.16 54.16°
Atoms (fractional coordinates):
Na 0.000 0.000 0.000
Na 0.000 0.500 0.500
Na 0.500 0.000 0.500
Na 0.500 0.500 0.000
Hf 0.000 0.000 0.500
Hf 0.000 0.500 0.000
Hf 0.500 0.000 0.000
Ti 0.500 0.500 0.500
S 0.241 0.241 0.241
S 0.243 0.738 0.738
S 0.262 0.262 0.757
S 0.262 0.757 0.262
S 0.738 0.243 0.738
S 0.738 0.738 0.243
S 0.757 0.262 0.262
S 0.759 0.759 0.759

=====

4.
For Ag2O, a structure optimized by DFT (PBE) gives the theoretical X-ray powder pattern in this record (CuKα).
Intensities are scaled so that the largest is 100.

The 8 most intense peaks (15 to 90 degrees two-theta), in order of falling intensity:
two_theta	d (Å)	I_rel
32.0	2.794	100
32.6	2.748	48
37.2	2.414	30
42.2	2.141	24
33.9	2.642	24
43.2	2.092	24
68.2	1.374	21
50.2	1.817	15

Structure:
Cell: 6.710 6.710 6.710 Å, 118.59 87.94 123.87°
Atoms (fractional coordinates):
Ag 0.000 0.000 0.000
Ag 0.000 0.000 0.500
Ag 0.000 0.500 0.000
Ag 0.250 0.750 0.500
Ag 0.500 0.000 0.000
Ag 0.500 0.500 0.000
Ag 0.500 0.500 0.500
Ag 0.750 0.250 0.500
O 0.104 0.726 0.830
O 0.396 0.226 0.622
O 0.604 0.774 0.378
O 0.896 0.274 0.170

=====

5.
For Ba2LiAlO4, a structure optimized by DFT (PBE) gives the theoretical X-ray powder pattern in this record (CuKα).
Intensities are scaled so that the largest is 100.

The 8 most intense peaks (15 to 90 degrees two-theta), in order of falling intensity:
two_theta	d (Å)	I_rel
32.3	2.769	100
19.3	4.590	80
36.6	2.453	54
30.8	2.901	40
55.8	1.648	40
58.6	1.575	30
44.1	2.052	22
39.2	2.297	22

Structure:
Cell: 5.560 5.560 5.560 Å, 117.09 117.09 95.12°
Atoms (fractional coordinates):
Ba 0.000 0.000 0.000
Ba 0.750 0.250 0.500
Li 0.250 0.750 0.500
Al 0.500 0.500 0.000
O 0.228 0.154 0.630
O 0.402 0.772 0.926
O 0.524 0.598 0.370
O 0.846 0.476 0.074

=====

6.
For Ba2HfGa, a structure optimized by DFT (PBE) gives the theoretical X-ray powder pattern in this record (CuKα).
Intensities are scaled so that the largest is 100.

The 8 most intense peaks (15 to 90 degrees two-theta), in order of falling intensity:
two_theta	d (Å)	I_rel
27.1	3.294	100
31.2	2.869	74
41.8	2.163	61
38.7	2.329	36
25.5	3.488	23
61.5	1.508	21
58.2	1.585	20
75.1	1.266	20

Structure:
Cell: 7.318 7.318 7.318 Å, 100.93 100.93 128.37°
Atoms (fractional coordinates):
Ba 0.094 0.125 0.469
Ba 0.375 0.906 0.031
Ba 0.656 0.625 0.531
Ba 0.875 0.344 0.969
Hf 0.250 0.750 0.500
Hf 0.500 0.500 0.000
Ga 0.000 0.000 0.000
Ga 0.750 0.250 0.500

=====

7.
For CrTc2Se, a structure optimized by DFT (PBE) gives the theoretical X-ray powder pattern in this record (CuKα).
Intensities are scaled so that the largest is 100.

The 8 most intense peaks (15 to 90 degrees two-theta), in order of falling intensity:
two_theta	d (Å)	I_rel
39.7	2.269	100
44.8	2.024	80
42.7	2.118	47
41.2	2.191	33
41.8	2.161	24
77.1	1.237	22
36.3	2.473	17
61.9	1.498	17

Structure:
Cell: 4.662 4.662 4.504 Å, 105.46 105.46 37.49°
Atoms (fractional coordinates):
Cr 0.000 0.000 0.000
Tc 0.267 0.267 0.885
Tc 0.497 0.497 0.496
Se 0.751 0.751 0.340

=====

8.
For Ac3Pm2Y5, a structure optimized by DFT (PBE) gives the theoretical X-ray powder pattern in this record (CuKα).
Intensities are scaled so that the largest is 100.

The 8 most intense peaks (15 to 90 degrees two-theta), in order of falling intensity:
two_theta	d (Å)	I_rel
29.9	2.988	100
31.0	2.886	76
24.0	3.715	54
31.8	2.817	44
38.5	2.337	43
31.2	2.870	28
15.7	5.633	21
45.1	2.010	21

Structure:
Cell: 10.288 10.288 10.288 Å, 122.57 93.51 113.61°
Atoms (fractional coordinates):
Ac 0.124 0.749 0.874
Ac 0.250 0.250 0.000
Ac 0.376 0.249 0.625
Ac 0.624 0.751 0.375
Ac 0.750 0.750 0.000
Ac 0.876 0.251 0.126
Pm 0.140 0.100 0.240
Pm 0.360 0.600 0.960
Pm 0.640 0.400 0.040
Pm 0.860 0.900 0.760
Y 0.007 0.750 0.257
Y 0.122 0.405 0.527
Y 0.250 0.750 0.500
Y 0.378 0.905 0.283
Y 0.493 0.750 0.743
Y 0.507 0.250 0.257
Y 0.622 0.095 0.717
Y 0.750 0.250 0.500
Y 0.878 0.595 0.473
Y 0.993 0.250 0.743